This entry pairs a crystal structure of NaTa4MnN8 with its computed PXRD pattern. Radiation: Cu Kα, 1.54184 Å. Structure: the GGA-PBE geometry in Alexandria.
Neutral-atom scattering factors, no anomalous dispersion.

Cell and atoms:
```
data_NaTa4MnN8
_cell_length_a 6.3131
_cell_length_b 6.3131
_cell_length_c 15.0652
_cell_angle_alpha 90.00
_cell_angle_beta 90.00
_cell_angle_gamma 120.00
_space_group_name_H-M_alt 'R 3 m'
_space_group_IT_number 160
_space_group_name_Hall 'R 3 -2"'
loop_
_atom_site_label
_atom_site_fract_x
_atom_site_fract_y
_atom_site_fract_z
Na1 0.0000 0.0000 0.0000
Ta1 0.0000 0.0000 0.7568
Ta2 0.0170 0.5085 0.8825
Mn1 0.0000 0.0000 0.3763
N1 0.0000 0.0000 0.1439
N2 0.0000 0.0000 0.6254
N3 0.0119 0.5059 0.1329
N4 0.1918 0.3837 0.9584
```

Most intense lines, 10° ≤ 2θ ≤ 80°, most intense first:
Position (°2θ)	Rel. int.	hkl
33.31	1000	0 2 1
33.53	741	1 1 3
34.92	586	2 0 2
17.66	528	0 0 3
20.07	517	0 1 2
28.78	411	1 0 4


This entry pairs a crystal structure of RbPm4PrS8 with its computed PXRD pattern. Radiation: Cu Kα, 1.54184 Å. Structure: the GGA-PBE geometry in Alexandria.
Neutral-atom scattering factors, no anomalous dispersion.

Cell and atoms:
```
data_RbPm4PrS8
_cell_length_a 8.4788
_cell_length_b 8.4788
_cell_length_c 20.9677
_cell_angle_alpha 90.00
_cell_angle_beta 90.00
_cell_angle_gamma 120.00
_space_group_name_H-M_alt 'R 3 m'
_space_group_IT_number 160
_space_group_name_Hall 'R 3 -2"'
loop_
_atom_site_label
_atom_site_fract_x
_atom_site_fract_y
_atom_site_fract_z
Rb1 0.0000 0.0000 0.0000
Pm1 0.0000 0.0000 0.2520
Pm2 0.1720 0.3440 0.4587
Pr1 0.0000 0.0000 0.6310
S1 0.0000 0.0000 0.3838
S2 0.0000 0.0000 0.8578
S3 0.0466 0.5233 0.3844
S4 0.1754 0.3508 0.2072
```

Most intense lines, 10° ≤ 2θ ≤ 80°, most intense first:
Position (°2θ)	Rel. int.	hkl
24.58	1000	0 2 1
38.95	481	0 3 3
42.37	419	2 0 8
42.65	416	2 2 0
29.71	374	0 2 4
24.44	323	0 1 5